1.
For BiO2, a crystal structure in the Materials Project, relaxed with PBE gives the simulated XRD peak list in this record (CuKα).
Intensities are scaled so that the largest is 100.

Crystal structure
abc: 8.470 8.470 8.470
angles: 92.55 92.55 155.66
Sites, in units of the cell vectors:
Bi1 0.151 0.663 0.813
Bi2 0.337 0.151 0.488
Bi3 0.663 0.849 0.512
Bi4 0.849 0.337 0.187
O1 0.040 0.335 0.375
O2 0.282 0.338 0.620
O3 0.335 0.960 0.295
O4 0.338 0.718 0.056
O5 0.662 0.282 0.944
O6 0.665 0.040 0.705
O7 0.718 0.662 0.380
O8 0.960 0.665 0.625

The 12 most intense peaks (5 to 70 degrees two-theta), in order of rising 2θ:
- 10.69°, 8.280 Å, intensity 61
- 15.13°, 5.855 Å, intensity 46
- 24.03°, 3.703 Å, intensity 53
- 30.29°, 2.951 Å, intensity 100
- 30.54°, 2.927 Å, intensity 22
- 32.44°, 2.760 Å, intensity 29
- 40.59°, 2.223 Å, intensity 32
- 46.54°, 1.952 Å, intensity 14
- 49.05°, 1.857 Å, intensity 45
- 56.54°, 1.628 Å, intensity 21
- 57.28°, 1.608 Å, intensity 10
- 69.92°, 1.345 Å, intensity 13

2.
For BiO2, a crystal structure in the Materials Project, relaxed with PBE gives the simulated XRD peak list in this record (CuKα).
Intensities are scaled so that the largest is 100.

Crystal structure
abc: 5.511 5.511 5.511
angles: 90.00 90.00 90.00
Sites, in units of the cell vectors:
Bi1 0.000 0.000 0.000
Bi2 0.000 0.500 0.500
Bi3 0.500 0.000 0.500
Bi4 0.500 0.500 0.000
O1 0.250 0.250 0.250
O2 0.250 0.250 0.750
O3 0.250 0.750 0.250
O4 0.250 0.750 0.750
O5 0.750 0.250 0.250
O6 0.750 0.250 0.750
O7 0.750 0.750 0.250
O8 0.750 0.750 0.750

The 6 most intense peaks (5 to 70 degrees two-theta), in order of rising 2θ:
- 28.04°, 3.182 Å, intensity 100
- 32.49°, 2.756 Å, intensity 36
- 46.61°, 1.949 Å, intensity 51
- 55.28°, 1.662 Å, intensity 48
- 57.97°, 1.591 Å, intensity 10
- 68.04°, 1.378 Å, intensity 8

3.
For Bi2O3, a crystal structure in the Materials Project, relaxed with PBE gives the simulated XRD peak list in this record (CuKα).
Intensities are scaled so that the largest is 100.

Crystal structure
abc: 7.773 7.773 6.013
angles: 90.00 90.00 120.00
Sites, in units of the cell vectors:
Bi1 0.175 0.350 0.000
Bi2 0.175 0.825 0.000
Bi3 0.333 0.667 0.494
Bi4 0.350 0.175 0.500
Bi5 0.650 0.825 0.000
Bi6 0.667 0.333 0.994
Bi7 0.825 0.175 0.500
Bi8 0.825 0.650 0.500
O1 0.077 0.538 0.274
O2 0.129 0.257 0.611
O3 0.129 0.871 0.611
O4 0.257 0.129 0.111
O5 0.462 0.538 0.274
O6 0.462 0.923 0.274
O7 0.538 0.077 0.774
O8 0.538 0.462 0.774
O9 0.743 0.871 0.611
O10 0.871 0.129 0.111
O11 0.871 0.743 0.111
O12 0.923 0.462 0.774

The 12 most intense peaks (5 to 70 degrees two-theta), in order of rising 2θ:
- 26.48°, 3.366 Å, intensity 23
- 29.72°, 3.006 Å, intensity 23
- 30.44°, 2.937 Å, intensity 100
- 40.22°, 2.242 Å, intensity 21
- 46.75°, 1.943 Å, intensity 25
- 53.19°, 1.722 Å, intensity 24
- 54.53°, 1.683 Å, intensity 3
- 56.38°, 1.632 Å, intensity 25
- 56.81°, 1.621 Å, intensity 18
- 61.71°, 1.503 Å, intensity 3
- 63.34°, 1.468 Å, intensity 5
- 68.33°, 1.373 Å, intensity 4

4.
For BiO2, a crystal structure in the Materials Project, relaxed with PBE gives the simulated XRD peak list in this record (CuKα).
Intensities are scaled so that the largest is 100.

Crystal structure
abc: 5.758 5.758 11.784
angles: 90.00 90.00 145.01
Sites, in units of the cell vectors:
Bi1 0.134 0.866 0.578
Bi2 0.134 0.866 0.922
Bi3 0.866 0.134 0.078
Bi4 0.866 0.134 0.422
O1 0.083 0.917 0.750
O2 0.240 0.760 0.091
O3 0.240 0.760 0.409
O4 0.500 0.500 0.000
O5 0.500 0.500 0.500
O6 0.760 0.240 0.591
O7 0.760 0.240 0.909
O8 0.917 0.083 0.250

The 12 most intense peaks (5 to 70 degrees two-theta), in order of rising 2θ:
- 15.04°, 5.892 Å, intensity 85
- 17.82°, 4.977 Å, intensity 81
- 27.01°, 3.302 Å, intensity 54
- 27.93°, 3.195 Å, intensity 100
- 28.07°, 3.179 Å, intensity 23
- 32.61°, 2.746 Å, intensity 29
- 35.52°, 2.527 Å, intensity 50
- 35.70°, 2.515 Å, intensity 45
- 38.93°, 2.313 Å, intensity 24
- 42.69°, 2.118 Å, intensity 28
- 54.73°, 1.677 Å, intensity 33
- 60.87°, 1.522 Å, intensity 24

5.
For Bi2O3, a crystal structure in the Materials Project, relaxed with PBE gives the simulated XRD peak list in this record (CuKα).
Intensities are scaled so that the largest is 100.

Crystal structure
abc: 7.916 7.916 5.592
angles: 90.00 90.00 90.00
Sites, in units of the cell vectors:
Bi1 0.007 0.251 0.251
Bi2 0.249 0.493 0.749
Bi3 0.251 0.993 0.749
Bi4 0.493 0.751 0.251
Bi5 0.507 0.249 0.251
Bi6 0.749 0.007 0.749
Bi7 0.751 0.507 0.749
Bi8 0.993 0.749 0.251
O1 0.000 0.000 0.000
O2 0.000 0.500 0.500
O3 0.245 0.255 0.000
O4 0.249 0.251 0.500
O5 0.251 0.751 0.500
O6 0.255 0.755 0.000
O7 0.500 0.000 0.500
O8 0.500 0.500 0.000
O9 0.745 0.245 0.000
O10 0.749 0.249 0.500
O11 0.751 0.749 0.500
O12 0.755 0.745 0.000

The 7 most intense peaks (5 to 70 degrees two-theta), in order of rising 2θ:
- 22.47°, 3.957 Å, intensity 1
- 27.61°, 3.231 Å, intensity 100
- 31.99°, 2.798 Å, intensity 40
- 45.87°, 1.978 Å, intensity 48
- 54.38°, 1.687 Å, intensity 47
- 57.01°, 1.615 Å, intensity 11
- 66.88°, 1.399 Å, intensity 8